# Mg4Zr10Tl
Calculated PXRD pattern, λ = 1.5418 Å (Cu Kα). Input: a structure optimized by DFT (PBE).
Kinematic intensities with the Lorentz-polarization factor, no thermal factor.

Main lines, by angle (2θ from 5° to 70°):
| 2θ (°) | Rel. int. | (hkl) |
| --- | --- | --- |
| 15.6 | 15 | 1 0 1 |
| 22.8 | 30 | 1 2 1 |
| 26.3 | 38 | 3 1 0 |
| 26.6 | 17 | 0 0 2 |
| 37.6 | 52 | 2 4 0 |
| 37.8 | 100 | 3 1 2 |
| 46.7 | 14 | 2 4 2 |
| 54.2 | 18 | 6 2 0 |
| 68.0 | 34 | 5 5 2 |
| 68.4 | 17 | 2 4 4 |

a = 10.698 Å, b = 10.698 Å, c = 6.692 Å
α = 90.00°, β = 90.00°, γ = 90.00°
Space group I4/m (No. 87)
Asymmetric unit:
Mg 0.098 0.701 0.000
Zr 0.000 0.500 0.250
Zr 0.103 0.205 0.248
Tl 0.000 0.000 0.500